Entry 1:
The following is a computed powder X-ray diffraction pattern of Cl. It was derived from a crystal structure in Alexandria, relaxed with GGA-PBE, using Cu Kα (weighted mean of Kα1 and Kα2).
Kinematic intensities with the Lorentz-polarization factor, no thermal factor.

Structural model:
```
data_Cl
_cell_length_a 2.340
_cell_length_b 3.279
_cell_length_c 4.595
_cell_angle_alpha 69.23
_cell_angle_beta 75.41
_cell_angle_gamma 89.99
_symmetry_space_group_name_H-M 'P -1'
_symmetry_Int_Tables_number 2
loop_
_symmetry_equiv_pos_as_xyz
'x,y,z'
'-x,-y,-z'
loop_
_atom_site_label
_atom_site_type_symbol
_atom_site_fract_x
_atom_site_fract_y
_atom_site_fract_z
_atom_site_occupancy
Cl1 Cl 0.000 0.000 0.000 1
```

The 6 most intense peaks (2θ from 15° to 90°), sorted by position:
index	two_theta	intensity
0 0 1	21.5	100.0
0 1 1	29.3	84.4
1 0 1	40.0	32.0
0 1 -1	42.8	12.9
0 1 2	42.9	12.8
1 1 1	47.7	17.8

=====

Entry 2:
The following is a computed powder X-ray diffraction pattern of Cl. It was derived from a crystal structure in Alexandria, relaxed with GGA-PBE, using Cu Kα (weighted mean of Kα1 and Kα2).
Kinematic intensities with the Lorentz-polarization factor, no thermal factor.

Structural model:
```
data_Cl
_cell_length_a 11.282
_cell_length_b 11.282
_cell_length_c 8.969
_cell_angle_alpha 90.00
_cell_angle_beta 90.00
_cell_angle_gamma 90.00
_symmetry_space_group_name_H-M 'P 42/n c m'
_symmetry_Int_Tables_number 138
loop_
_symmetry_equiv_pos_as_xyz
'x,y,z'
'-x,-y,-z'
'-y+1/2,x,z+1/2'
'y+1/2,-x,-z+1/2'
'-x+1/2,-y+1/2,z'
'x+1/2,y+1/2,-z'
'y,-x+1/2,z+1/2'
'-y,x+1/2,-z+1/2'
'x+1/2,-y,-z+1/2'
'-x+1/2,y,z+1/2'
'-y,-x,-z'
'y,x,z'
'-x,y+1/2,-z+1/2'
'x,-y+1/2,z+1/2'
'y+1/2,x+1/2,-z'
'-y+1/2,-x+1/2,z'
loop_
_atom_site_label
_atom_site_type_symbol
_atom_site_fract_x
_atom_site_fract_y
_atom_site_fract_z
_atom_site_occupancy
Cl1 Cl 0.109 0.647 0.106 1
```

The 6 most intense peaks (2θ from 15° to 90°), sorted by position:
index	two_theta	intensity
2 2 1	24.4	100.0
3 1 0	25.0	37.4
3 1 1	26.9	43.3
4 0 0	31.7	33.6
6 2 1	52.3	14.6
6 1 2	53.4	11.9

=====

Entry 3:
The following is a computed powder X-ray diffraction pattern of Cl. It was derived from a crystal structure in Alexandria, relaxed with GGA-PBE, using Cu Kα (weighted mean of Kα1 and Kα2).
Kinematic intensities with the Lorentz-polarization factor, no thermal factor.

Structural model:
```
data_Cl
_cell_length_a 7.569
_cell_length_b 4.579
_cell_length_c 8.105
_cell_angle_alpha 90.00
_cell_angle_beta 90.00
_cell_angle_gamma 90.00
_symmetry_space_group_name_H-M 'C m c 21'
_symmetry_Int_Tables_number 36
loop_
_symmetry_equiv_pos_as_xyz
'x,y,z'
'-x,-y,z+1/2'
'-x,y,z'
'x,-y,z+1/2'
'x+1/2,y+1/2,z'
'-x+1/2,-y+1/2,z+1/2'
'-x+1/2,y+1/2,z'
'x+1/2,-y+1/2,z+1/2'
loop_
_atom_site_label
_atom_site_type_symbol
_atom_site_fract_x
_atom_site_fract_y
_atom_site_fract_z
_atom_site_occupancy
Cl1 Cl 0.000 0.080 0.000 1
Cl2 Cl 0.000 0.310 0.213 1
```

The 6 most intense peaks (2θ from 15° to 90°), sorted by position:
index	two_theta	intensity
2 0 0	23.5	93.4
1 1 1	25.2	100.0
1 1 2	31.8	58.3
3 1 1	42.4	20.5
3 1 2	46.8	16.7
2 0 4	51.1	13.5